1.
For Er3Ga7Ir2, a cell relaxed with GGA-PBE gives the simulated powder X-ray diffraction pattern in this record (λ = 1.5418 Å (Cu Kα)).

Crystal structure
a = 4.1711 Å, b = 4.1520 Å, c = 13.5234 Å
α = 90.00°, β = 98.76°, γ = 90.00°
Space group P2/m (No. 10)
Unique sites:
Er 0.0000 0.0000 0.0000 x1
Er 0.3197 0.5000 0.6413 x2
Ga 0.0804 0.5000 0.1611 x2
Ga 0.2241 0.0000 0.4479 x2
Ga 0.4200 0.0000 0.8388 x2
Ga 0.5000 0.5000 0.0000 x1
Ir 0.1307 0.0000 0.2638 x2

Top 10 peaks for 10 to 90 degrees two-theta, sorted by position:
- 2θ 30.56, rel. 54, (1 1 0)
- 2θ 32.03, rel. 64, (1 1 -2)
- 2θ 34.45, rel. 76, (0 1 4)
- 2θ 34.80, rel. 100, (1 1 -3)
- 2θ 37.16, rel. 40, (1 0 4)
- 2θ 38.63, rel. 88, (1 1 -4)
- 2θ 43.39, rel. 62, (2 0 -1)
- 2θ 43.60, rel. 61, (0 2 0)
- 2θ 56.54, rel. 37, (2 1 3)
- 2θ 63.20, rel. 41, (2 2 -1)



2.
For LuCu3S3, a cell relaxed with GGA-PBE gives the simulated powder X-ray diffraction pattern in this record (λ = 1.5418 Å (Cu Kα)).

Crystal structure
a = 3.8430 Å, b = 3.8430 Å, c = 19.0078 Å
α = 90.00°, β = 90.00°, γ = 120.00°
Space group P-3m1 (No. 164)
Unique sites:
Lu 0.0000 0.0000 0.1709 x2
Cu 0.3333 0.6667 0.0460 x2
Cu 0.3333 0.6667 0.4337 x2
Cu 0.3333 0.6667 0.7035 x2
S 0.3333 0.6667 0.2488 x2
S 0.3333 0.6667 0.5851 x2
S 0.3333 0.6667 0.9170 x2

Top 10 peaks for 10 to 90 degrees two-theta, sorted by position:
- 2θ 13.98, rel. 19, (0 0 3)
- 2θ 27.20, rel. 24, (1 0 1)
- 2θ 28.41, rel. 36, (1 0 2)
- 2θ 30.34, rel. 100, (1 0 3)
- 2θ 32.85, rel. 22, (0 1 4)
- 2θ 35.86, rel. 34, (0 1 5)
- 2θ 39.26, rel. 71, (0 1 6)
- 2θ 47.31, rel. 69, (1 1 0)
- 2θ 51.23, rel. 19, (1 0 9)
- 2θ 62.13, rel. 20, (1 1 8)



3.
For SmGa3IrRh, a cell relaxed with GGA-PBE gives the simulated powder X-ray diffraction pattern in this record (λ = 1.5418 Å (Cu Kα)).

Crystal structure
a = 7.8689 Å, b = 10.8285 Å, c = 5.6178 Å
α = 90.00°, β = 90.00°, γ = 90.00°
Space group Cmcm (No. 63)
Unique sites:
Sm 0.0000 0.2054 0.2500 x4
Ga 0.0000 0.3191 0.7500 x4
Ga 0.2401 0.0000 0.0000 x8
Ir 0.0000 0.0918 0.7500 x4
Rh 0.0000 0.4544 0.2500 x4

Top 10 peaks for 10 to 90 degrees two-theta, sorted by position:
- 2θ 16.37, rel. 20, (0 2 0)
- 2θ 22.60, rel. 66, (2 0 0)
- 2θ 31.58, rel. 29, (1 3 1)
- 2θ 31.86, rel. 28, (0 0 2)
- 2θ 36.86, rel. 54, (0 4 1)
- 2θ 39.42, rel. 100, (2 0 2)
- 2θ 43.67, rel. 67, (2 4 1)
- 2θ 46.14, rel. 32, (4 0 0)
- 2θ 60.46, rel. 25, (4 4 1)
- 2θ 65.03, rel. 21, (2 4 3)



Q: Number 1 is which compound?
A: Er3Ga7Ir2